# 1
Structure and computed powder X-ray diffraction pattern of SmH4Pd3 (the GGA-PBE geometry in Alexandria; Cu Kα (λ = 1.5418 Å)).

```
SmH4Pd3
1.0
5.544 0.000 0.000
0.000 5.544 0.000
0.000 0.000 5.544
Sm H Pd
2 8 6
direct
0.000 0.000 0.000
0.500 0.500 0.500
0.250 0.250 0.250
0.250 0.250 0.750
0.250 0.750 0.250
0.250 0.750 0.750
0.750 0.250 0.250
0.750 0.250 0.750
0.750 0.750 0.250
0.750 0.750 0.750
0.000 0.250 0.500
0.000 0.750 0.500
0.250 0.500 0.000
0.500 0.000 0.250
0.500 0.000 0.750
0.750 0.500 0.000
```

Largest 10 diffraction maxima, low angle first, 2θ = 10–90°:
hkl  d/Å  intensity
1 1 0  3.920  5
2 0 0  2.772  42
2 1 0  2.479  92
2 1 1  2.263  100
3 2 0  1.538  20
3 2 1  1.482  52
4 0 0  1.386  18
4 2 0  1.240  14
4 2 1  1.210  18
3 3 2  1.182  12



# 2
Structure and computed powder X-ray diffraction pattern of SmH4Pd6 (the GGA-PBE geometry in Alexandria; Cu Kα (λ = 1.5418 Å)).

```
SmH4Pd6
1.0
5.110 0.000 0.000
-0.974 5.042 0.000
-0.691 -1.011 5.113
Sm H Pd
1 4 6
direct
0.000 0.000 0.000
0.058 0.509 0.857
0.186 0.942 0.454
0.523 0.508 0.445
0.532 0.109 0.972
0.146 0.283 0.575
0.310 0.579 0.148
0.425 0.829 0.697
0.582 0.147 0.318
0.695 0.417 0.850
0.864 0.698 0.424
```

Largest 10 diffraction maxima, low angle first, 2θ = 10–90°:
hkl  d/Å  intensity
1 1 1  2.452  99
1 0 -2  2.444  100
2 -1 0  2.432  100
0 2 -1  2.418  98
1 -1 2  2.167  70
-1 2 1  2.109  67
2 1 -1  2.058  61
2 -3 1  1.500  22
-2 2 3  1.277  23
3 1 -3  1.250  22



Please write out number 1 again, unchanged.
Structure and computed powder X-ray diffraction pattern of SmH4Pd3 (the GGA-PBE geometry in Alexandria; Cu Kα (λ = 1.5418 Å)).

```
SmH4Pd3
1.0
5.544 0.000 0.000
0.000 5.544 0.000
0.000 0.000 5.544
Sm H Pd
2 8 6
direct
0.000 0.000 0.000
0.500 0.500 0.500
0.250 0.250 0.250
0.250 0.250 0.750
0.250 0.750 0.250
0.250 0.750 0.750
0.750 0.250 0.250
0.750 0.250 0.750
0.750 0.750 0.250
0.750 0.750 0.750
0.000 0.250 0.500
0.000 0.750 0.500
0.250 0.500 0.000
0.500 0.000 0.250
0.500 0.000 0.750
0.750 0.500 0.000
```

Largest 10 diffraction maxima, low angle first, 2θ = 10–90°:
hkl  d/Å  intensity
1 1 0  3.920  5
2 0 0  2.772  42
2 1 0  2.479  92
2 1 1  2.263  100
3 2 0  1.538  20
3 2 1  1.482  52
4 0 0  1.386  18
4 2 0  1.240  14
4 2 1  1.210  18
3 3 2  1.182  12